Starting from the GGA-PBE geometry in the Materials Project, the X-ray diffraction stick pattern of Ta3I7 was calculated for λ = 1.5418 Å (Cu Kα).

Principal peaks in the range 2θ = 5–70°, by angle:
2θ 10.49, I = 100.0, hkl 1 1 1
2θ 10.85, I = 21.8, hkl 0 2 0
2θ 25.84, I = 14.2, hkl 0 4 2
2θ 26.72, I = 6.3, hkl 4 2 1
2θ 29.32, I = 9.5, hkl 4 2 2
2θ 33.25, I = 30.3, hkl 4 2 3
2θ 36.52, I = 5.4, hkl 5 3 2
2θ 38.14, I = 5.6, hkl 4 2 4
2θ 38.50, I = 7.0, hkl 4 4 3
2θ 39.20, I = 5.7, hkl 0 6 3
2θ 41.39, I = 7.8, hkl 4 6 1
2θ 47.72, I = 8.1, hkl 8 0 0

Structure:
a b c (Å): 15.252 16.303 12.923
angles (deg): 90.00 90.00 90.00
Space group Cmce (No. 64)
Inequivalent atoms, fractional coordinates:
Ta 0.000 0.095 0.068 (multiplicity 8)
Ta 0.103 0.047 0.895 (multiplicity 16)
I 0.000 0.119 0.737 (multiplicity 8)
I 0.122 0.091 0.233 (multiplicity 16)
I 0.123 0.206 0.981 (multiplicity 16)
I 0.244 0.000 0.500 (multiplicity 8)
I 0.250 0.124 0.750 (multiplicity 8)